Theoretical powder diffraction line list of Nd4FeS7 for Cu Kα (weighted mean of Kα1 and Kα2), from a crystal structure in OQMD, relaxed with GGA-PBE.
Kinematic intensities with the Lorentz-polarization factor, no thermal factor.

Top 10 peaks for 2θ = 10–80°, low angle first:
2theta  d [Å]  intensity  h k l
24.46  3.639  100  0 1 2
24.70  3.605  100  2 1 0
24.83  3.586  42  2 1 -2
25.88  3.443  44  0 2 0
27.93  3.194  29  2 0 -3
33.66  2.663  55  2 2 -2
33.96  2.640  30  0 1 3
36.37  2.470  40  2 0 2
44.80  2.023  35  0 3 2
44.95  2.017  43  2 3 0

Structural model:
Cell lengths 9.682, 6.885, 9.811 Å; angles 90.00, 119.08, 90.00 degrees
Space group P2_1 (No. 4)
Asymmetric unit:
Nd 0.124 0.000 0.358 [2 per cell]
Nd 0.125 0.977 0.801 [2 per cell]
Nd 0.290 0.430 0.169 [2 per cell]
Nd 0.351 0.462 0.621 [2 per cell]
Fe 0.490 0.667 0.983 [2 per cell]
S 0.016 0.197 0.084 [2 per cell]
S 0.043 0.282 0.500 [2 per cell]
S 0.178 0.628 0.328 [2 per cell]
S 0.273 0.360 0.878 [2 per cell]
S 0.372 0.858 0.098 [2 per cell]
S 0.383 0.853 0.750 [2 per cell]
S 0.407 0.180 0.442 [2 per cell]

=====

Theoretical powder diffraction line list of Nb8P2C3N3 for Cu Kα (weighted mean of Kα1 and Kα2), from a crystal structure in OQMD, relaxed with GGA-PBE.
Kinematic intensities with the Lorentz-polarization factor, no thermal factor.

Top 10 peaks for 2θ = 10–80°, low angle first:
2theta  d [Å]  intensity  h k l
32.23  2.777  31  0 0 8
33.29  2.691  48  1 0 2
34.53  2.598  20  0 1 3
38.25  2.353  55  0 1 5
40.63  2.221  100  1 0 6
56.33  1.633  12  0 1 11
57.55  1.601  41  1 1 0
60.06  1.540  18  1 0 12
67.50  1.388  19  1 1 8
72.80  1.299  25  0 2 6

Structural model:
Cell lengths 3.2029, 3.2029, 22.2281 Å; angles 90.00, 90.00, 120.00 degrees
Space group P-3m1 (No. 164)
Asymmetric unit:
Nb 0.0000 0.0000 0.1703 [2 per cell]
Nb 0.0000 0.0000 0.3284 [2 per cell]
Nb 0.3333 0.6667 0.0601 [2 per cell]
Nb 0.3333 0.6667 0.4450 [2 per cell]
P 0.3333 0.6667 0.2517 [2 per cell]
C 0.0000 0.0000 0.0000 [1 per cell]
C 0.3333 0.6667 0.8836 [2 per cell]
N 0.0000 0.0000 0.5000 [1 per cell]
N 0.3333 0.6667 0.6124 [2 per cell]

=====

Theoretical powder diffraction line list of Na4CdIn2Hg for Cu Kα (weighted mean of Kα1 and Kα2), from a crystal structure in OQMD, relaxed with GGA-PBE.
Kinematic intensities with the Lorentz-polarization factor, no thermal factor.

Top 10 peaks for 2θ = 10–80°, low angle first:
2theta  d [Å]  intensity  h k l
21.00  4.231  58  1 0 1
34.62  2.591  100  2 0 0
40.80  2.212  21  2 1 1
40.91  2.206  11  1 0 3
49.70  1.834  12  2 2 0
54.58  1.681  14  3 0 1
62.00  1.497  24  3 1 2
62.12  1.494  12  2 0 4
66.21  1.411  8  3 2 1
73.09  1.295  7  2 2 4

Structural model:
Cell lengths 5.189, 5.189, 7.311 Å; angles 90.00, 90.00, 90.00 degrees
Space group P-4m2 (No. 115)
Asymmetric unit:
Na 0.000 0.000 0.000 [1 per cell]
Na 0.000 0.500 0.248 [2 per cell]
Na 0.500 0.500 0.500 [1 per cell]
Cd 0.000 0.000 0.500 [1 per cell]
In 0.000 0.500 0.748 [2 per cell]
Hg 0.500 0.500 0.000 [1 per cell]

=====

Theoretical powder diffraction line list of Hf2SiNi2Ge for Cu Kα (weighted mean of Kα1 and Kα2), from a crystal structure in OQMD, relaxed with GGA-PBE.
Kinematic intensities with the Lorentz-polarization factor, no thermal factor.

Top 8 peaks for 2θ = 10–80°, low angle first:
2theta  d [Å]  intensity  h k l
26.53  3.360  59  1 1 1
30.73  2.910  41  2 0 2
44.01  2.057  100  4 1 0
52.13  1.755  28  3 1 3
54.63  1.680  11  2 2 2
64.00  1.455  16  4 2 -4
70.54  1.335  11  1 3 1
72.66  1.301  15  6 1 2

Structural model:
Cell lengths 10.079, 4.115, 10.080 Å; angles 90.00, 109.47, 90.00 degrees
Space group Pm (No. 6)
Asymmetric unit:
Hf 0.000 0.000 0.000 [1 per cell]
Hf 0.122 0.500 0.370 [1 per cell]
Hf 0.247 0.000 0.748 [1 per cell]
Hf 0.372 0.500 0.125 [1 per cell]
Hf 0.498 0.000 0.497 [1 per cell]
Hf 0.624 0.500 0.874 [1 per cell]
Hf 0.747 0.000 0.248 [1 per cell]
Hf 0.874 0.500 0.623 [1 per cell]
Si 0.123 0.500 0.874 [1 per cell]
Si 0.248 0.000 0.249 [1 per cell]
Si 0.623 0.500 0.373 [1 per cell]
Si 0.873 0.500 0.123 [1 per cell]
Ni 0.001 0.000 0.752 [1 per cell]
Ni 0.123 0.500 0.123 [1 per cell]
Ni 0.247 0.000 0.494 [1 per cell]
Ni 0.370 0.500 0.874 [1 per cell]
Ni 0.497 0.000 0.251 [1 per cell]
Ni 0.624 0.500 0.620 [1 per cell]
Ni 0.752 0.000 0.001 [1 per cell]
Ni 0.869 0.500 0.370 [1 per cell]
Ge 0.373 0.500 0.623 [1 per cell]
Ge 0.498 0.000 0.998 [1 per cell]
Ge 0.749 0.000 0.748 [1 per cell]
Ge 0.998 0.000 0.498 [1 per cell]

=====

Theoretical powder diffraction line list of Cu3Te2OsS2 for Cu Kα (weighted mean of Kα1 and Kα2), from a crystal structure in OQMD, relaxed with GGA-PBE.
Kinematic intensities with the Lorentz-polarization factor, no thermal factor.

Top 10 peaks for 2θ = 10–80°, low angle first:
2theta  d [Å]  intensity  h k l
15.33  5.780  75  1 1 0
16.44  5.392  65  0 0 1
20.99  4.233  36  0 2 0
26.78  3.329  55  0 2 1
27.98  3.189  26  2 0 1
35.24  2.547  42  2 2 1
35.66  2.517  38  3 1 0
36.79  2.443  35  1 1 2
42.72  2.116  30  0 4 0
46.05  1.971  100  2 2 2

Structural model:
Cell lengths 7.910, 8.465, 5.392 Å; angles 90.00, 90.00, 90.00 degrees
Space group Cmm2 (No. 35)
Asymmetric unit:
Cu 0.000 0.000 0.000 [2 per cell]
Cu 0.250 0.250 0.538 [4 per cell]
Te 0.214 0.500 0.254 [4 per cell]
Os 0.000 0.000 0.497 [2 per cell]
S 0.000 0.220 0.740 [4 per cell]

=====

Theoretical powder diffraction line list of HfZr2Ni2As4Pd2 for Cu Kα (weighted mean of Kα1 and Kα2), from a crystal structure in OQMD, relaxed with GGA-PBE.
Kinematic intensities with the Lorentz-polarization factor, no thermal factor.

Top 10 peaks for 2θ = 10–80°, low angle first:
2theta  d [Å]  intensity  h k l
13.44  6.588  44  1 0 0
17.95  4.943  38  1 0 1
35.72  2.514  66  1 1 -2
35.82  2.507  71  2 1 0
35.98  2.496  37  1 1 2
37.67  2.388  75  2 1 -1
37.91  2.373  87  2 1 1
42.69  2.118  100  0 1 3
44.82  2.022  32  2 0 -3
47.04  1.932  64  0 2 0

Structural model:
Cell lengths 6.589, 3.863, 7.597 Å; angles 90.00, 90.81, 90.00 degrees
Space group Pm (No. 6)
Asymmetric unit:
Hf 0.000 0.000 0.000 [1 per cell]
Zr 0.438 0.500 0.499 [1 per cell]
Zr 0.933 0.500 0.626 [1 per cell]
Ni 0.103 0.000 0.369 [1 per cell]
Ni 0.621 0.000 0.756 [1 per cell]
As 0.225 0.000 0.678 [1 per cell]
As 0.231 0.500 0.201 [1 per cell]
As 0.708 0.500 0.930 [1 per cell]
As 0.717 0.000 0.441 [1 per cell]
Pd 0.320 0.500 0.883 [1 per cell]
Pd 0.838 0.500 0.246 [1 per cell]

=====

Theoretical powder diffraction line list of Pm5Ge3F for Cu Kα (weighted mean of Kα1 and Kα2), from a crystal structure in OQMD, relaxed with GGA-PBE.
Kinematic intensities with the Lorentz-polarization factor, no thermal factor.

Top 10 peaks for 2θ = 10–80°, low angle first:
2theta  d [Å]  intensity  h k l
30.09  2.970  24  1 0 2
31.10  2.875  32  2 1 0
34.14  2.626  95  2 1 1
34.49  2.600  100  1 1 2
35.40  2.536  55  3 0 0
50.26  1.815  27  2 2 2
53.18  1.722  27  2 1 3
54.46  1.685  17  3 2 1
56.14  1.638  20  4 0 2
69.00  1.361  15  3 0 4

Structural model:
Cell lengths 8.7846, 8.7846, 6.4527 Å; angles 90.00, 90.00, 120.00 degrees
Space group P6_3/mcm (No. 193)
Asymmetric unit:
Pm 0.0000 0.2511 0.2500 [6 per cell]
Pm 0.3333 0.6667 0.0000 [4 per cell]
Ge 0.0000 0.3893 0.7500 [6 per cell]
F 0.0000 0.0000 0.0000 [2 per cell]

=====

Theoretical powder diffraction line list of Lu5Te3Pt for Cu Kα (weighted mean of Kα1 and Kα2), from a crystal structure in OQMD, relaxed with GGA-PBE.
Kinematic intensities with the Lorentz-polarization factor, no thermal factor.

Top 10 peaks for 2θ = 10–80°, low angle first:
2theta  d [Å]  intensity  h k l
20.74  4.284  22  1 1 0
31.41  2.848  41  1 1 1
31.91  2.804  54  2 1 0
33.71  2.659  100  2 0 1
36.32  2.473  20  3 0 0
39.91  2.259  51  2 1 1
47.71  1.906  18  0 0 2
56.87  1.619  17  4 1 0
58.55  1.577  19  2 1 2
59.47  1.554  24  3 2 1

Structural model:
Cell lengths 8.5675, 8.5675, 3.8126 Å; angles 90.00, 90.00, 120.00 degrees
Space group P-62m (No. 189)
Asymmetric unit:
Lu 0.0000 0.2334 0.0000 [3 per cell]
Lu 0.3333 0.6667 0.0000 [2 per cell]
Te 0.0000 0.5534 0.5000 [3 per cell]
Pt 0.0000 0.0000 0.5000 [1 per cell]

=====

Theoretical powder diffraction line list of Tm4CdHgB2 for Cu Kα (weighted mean of Kα1 and Kα2), from a crystal structure in OQMD, relaxed with GGA-PBE.
Kinematic intensities with the Lorentz-polarization factor, no thermal factor.

Top 10 peaks for 2θ = 10–80°, low angle first:
2theta  d [Å]  intensity  h k l
26.57  3.355  27  1 0 0
32.50  2.755  100  1 0 3
37.24  2.414  14  0 0 6
46.33  1.960  13  1 0 6
46.90  1.937  25  1 1 0
58.22  1.585  19  2 0 3
61.36  1.511  20  1 1 6
64.18  1.451  13  1 0 9
68.05  1.378  4  2 0 6
77.88  1.227  17  2 1 3

Structural model:
Cell lengths 3.8742, 3.8742, 14.4859 Å; angles 90.00, 90.00, 120.00 degrees
Space group P-6m2 (No. 187)
Asymmetric unit:
Tm 0.0000 0.0000 0.1583 [2 per cell]
Tm 0.3333 0.6667 0.3310 [2 per cell]
Cd 0.0000 0.0000 0.5000 [1 per cell]
Hg 0.3333 0.6667 0.0000 [1 per cell]
B 0.6667 0.3333 0.2457 [2 per cell]

=====

Theoretical powder diffraction line list of Pr3Si2Ge2Pd2Pt2 for Cu Kα (weighted mean of Kα1 and Kα2), from a crystal structure in OQMD, relaxed with GGA-PBE.
Kinematic intensities with the Lorentz-polarization factor, no thermal factor.

Top 10 peaks for 2θ = 10–80°, low angle first:
2theta  d [Å]  intensity  h k l
28.55  3.127  9  0 0 8
33.05  2.711  100  1 1 4
36.85  2.439  9  1 1 6
38.45  2.341  13  0 1 9
41.56  2.173  18  0 2 0
43.44  2.083  18  2 0 0
61.68  1.504  13  2 2 0
67.52  1.387  9  1 1 16
70.45  1.337  10  1 3 4
73.12  1.294  10  3 1 4

Structural model:
Cell lengths 4.166, 4.345, 25.015 Å; angles 90.00, 90.00, 90.00 degrees
Space group Immm (No. 71)
Asymmetric unit:
Pr 0.000 0.000 0.000 [2 per cell]
Pr 0.000 0.500 0.148 [4 per cell]
Si 0.000 0.500 0.302 [4 per cell]
Ge 0.000 0.000 0.450 [4 per cell]
Pd 0.000 0.500 0.399 [4 per cell]
Pt 0.000 0.000 0.248 [4 per cell]

=====

Theoretical powder diffraction line list of TlCdNO for Cu Kα (weighted mean of Kα1 and Kα2), from a crystal structure in OQMD, relaxed with GGA-PBE.
Kinematic intensities with the Lorentz-polarization factor, no thermal factor.

Top 10 peaks for 2θ = 10–80°, low angle first:
2theta  d [Å]  intensity  h k l
12.01  7.371  15  0 1 0
28.02  3.184  37  1 2 0
30.47  2.934  47  0 0 2
31.98  2.798  100  1 2 1
32.16  2.783  55  2 0 1
41.87  2.158  22  1 2 2
49.84  1.830  27  3 2 0
55.11  1.667  28  1 2 3
59.55  1.552  27  3 2 2
60.23  1.536  18  2 4 1

Structural model:
Cell lengths 6.323, 7.371, 5.868 Å; angles 90.00, 90.00, 90.00 degrees
Space group Pca2_1 (No. 29)
Asymmetric unit:
Tl 0.088 0.118 0.000 [4 per cell]
Cd 0.087 0.626 0.995 [4 per cell]
N 0.080 0.130 0.622 [4 per cell]
O 0.078 0.625 0.611 [4 per cell]

=====

Theoretical powder diffraction line list of NiSe2 for Cu Kα (weighted mean of Kα1 and Kα2), from a crystal structure in OQMD, relaxed with GGA-PBE.
Kinematic intensities with the Lorentz-polarization factor, no thermal factor.

Top 10 peaks for 2θ = 10–80°, low angle first:
2theta  d [Å]  intensity  h k l
30.20  2.960  24  2 0 0
33.86  2.647  100  2 1 0
37.20  2.417  78  2 1 1
43.23  2.093  17  2 2 0
51.18  1.785  70  3 1 1
56.01  1.642  24  3 0 2
58.32  1.582  41  3 2 1
71.24  1.324  7  4 2 0
73.28  1.292  21  4 2 1
75.30  1.262  10  3 3 2

Structural model:
Cell lengths 5.920, 5.920, 5.920 Å; angles 90.00, 90.00, 90.00 degrees
Space group Pa-3 (No. 205)
Asymmetric unit:
Ni 0.000 0.000 0.000 [4 per cell]
Se 0.124 0.624 0.876 [8 per cell]